Entry 1:
Computed PXRD pattern of LiCu6OF11 for Cu Kα, 1.54184 Å, from a cell relaxed with GGA-PBE.

Structural model:
```
data_LiCu6OF11
_chemical_formula_sum 'Li1 Cu6 O1 F11'
_cell_length_a 4.8605
_cell_length_b 5.4234
_cell_length_c 8.3940
_cell_angle_alpha 84.88
_cell_angle_beta 87.55
_cell_angle_gamma 88.11
_symmetry_space_group_name_H-M 'P 1'
_symmetry_Int_Tables_number 1
loop_
_symmetry_equiv_pos_as_xyz
'x,y,z'
loop_
_atom_site_label
_atom_site_type_symbol
_atom_site_fract_x
_atom_site_fract_y
_atom_site_fract_z
Li1 Li 0.0000 0.0000 0.0000
Cu1 Cu 0.0010 0.9990 0.4981
Cu2 Cu 0.4992 0.8402 0.1774
Cu3 Cu 0.5107 0.1424 0.8180
Cu4 Cu 0.5164 0.4998 0.4799
Cu5 Cu 0.9846 0.3820 0.1885
Cu6 Cu 0.9986 0.6234 0.8087
O1 O 0.6753 0.5505 0.2668
F1 F 0.1716 0.6727 0.0898
F2 F 0.1824 0.2979 0.4160
F3 F 0.1879 0.9478 0.7799
F4 F 0.2946 0.1567 0.0874
F5 F 0.3066 0.8140 0.4185
F6 F 0.3288 0.4505 0.7199
F7 F 0.6922 0.1863 0.5748
F8 F 0.6967 0.8348 0.9179
F9 F 0.8051 0.0588 0.2185
F10 F 0.8192 0.6996 0.5846
F11 F 0.8222 0.3190 0.9000
```

Principal peaks in the range 10° ≤ 2θ ≤ 90°, in order of rising 2θ:
2θ 25.66, d 3.472, I 100; 2θ 26.95, d 3.308, I 87; 2θ 32.14, d 2.785, I 56; 2θ 33.55, d 2.671, I 38; 2θ 33.97, d 2.639, I 27; 2θ 35.84, d 2.505, I 25; 2θ 50.00, d 1.824, I 20; 2θ 52.73, d 1.736, I 21; 2θ 53.81, d 1.704, I 16; 2θ 58.18, d 1.586, I 19

Entry 2:
Computed PXRD pattern of Ta4CrRe3 for Cu Kα, 1.54184 Å, from a cell relaxed with GGA-PBE.

Structural model:
```
data_Ta4CrRe3
_chemical_formula_sum 'Ta4 Cr1 Re3'
_cell_length_a 3.1808
_cell_length_b 3.1808
_cell_length_c 12.7242
_cell_angle_alpha 90.00
_cell_angle_beta 90.00
_cell_angle_gamma 90.00
_symmetry_space_group_name_H-M 'P 4/m m m'
_symmetry_Int_Tables_number 123
_symmetry_space_group_name_Hall '-P 4 2'
loop_
_atom_site_label
_atom_site_type_symbol
_atom_site_fract_x
_atom_site_fract_y
_atom_site_fract_z
Ta1 Ta 0.0000 0.0000 0.1200
Ta2 Ta 0.0000 0.0000 0.3730
Cr1 Cr 0.5000 0.5000 0.0000
Re1 Re 0.5000 0.5000 0.2471
Re2 Re 0.5000 0.5000 0.5000
```

Principal peaks in the range 10° ≤ 2θ ≤ 90°, in order of rising 2θ:
2θ 13.92, d 6.362, I 2; 2θ 28.05, d 3.181, I 1; 2θ 28.93, d 3.086, I 2; 2θ 31.44, d 2.845, I 1; 2θ 35.27, d 2.545, I 2; 2θ 40.09, d 2.249, I 100; 2θ 57.99, d 1.590, I 17; 2θ 66.09, d 1.414, I 1; 2θ 72.83, d 1.299, I 35; 2θ 86.55, d 1.125, I 11

Entry 3:
Computed PXRD pattern of Cs4H2IF for Cu Kα, 1.54184 Å, from a cell relaxed with GGA-PBE.

Structural model:
```
data_Cs4H2IF
_chemical_formula_sum 'Cs16 H8 I4 F4'
_cell_length_a 13.6069
_cell_length_b 13.8452
_cell_length_c 9.5893
_cell_angle_alpha 90.00
_cell_angle_beta 134.69
_cell_angle_gamma 90.00
_symmetry_space_group_name_H-M 'C 1 2/c 1'
_symmetry_Int_Tables_number 15
loop_
_symmetry_equiv_pos_as_xyz
'x,y,z'
'-x,-y,-z'
'-x,y,-z+1/2'
'x,-y,z+1/2'
'x+1/2,y+1/2,z'
'-x+1/2,-y+1/2,-z'
'-x+1/2,y+1/2,-z+1/2'
'x+1/2,-y+1/2,z+1/2'
loop_
_atom_site_label
_atom_site_type_symbol
_atom_site_fract_x
_atom_site_fract_y
_atom_site_fract_z
Cs1 Cs 0.0041 0.2334 0.0264
Cs2 Cs 0.2153 0.0414 0.9652
H1 H 0.0000 0.0000 0.0000
H2 H 0.2500 0.2500 0.5000
I1 I 0.0000 0.5000 0.0000
F1 F 0.2500 0.2500 0.0000
```

Principal peaks in the range 10° ≤ 2θ ≤ 90°, in order of rising 2θ:
2θ 21.35, d 4.161, I 27; 2θ 21.66, d 4.103, I 18; 2θ 22.42, d 3.965, I 34; 2θ 22.56, d 3.942, I 37; 2θ 25.74, d 3.461, I 35; 2θ 26.17, d 3.405, I 100; 2θ 28.35, d 3.148, I 17; 2θ 28.41, d 3.142, I 24; 2θ 37.03, d 2.427, I 48; 2θ 37.52, d 2.397, I 19

Entry 4:
Computed PXRD pattern of KTaPbO6 for Cu Kα, 1.54184 Å, from a cell relaxed with GGA-PBE.

Structural model:
```
data_KTaPbO6
_chemical_formula_sum 'K2 Ta2 Pb2 O12'
_cell_length_a 5.8372
_cell_length_b 5.8372
_cell_length_c 10.8741
_cell_angle_alpha 90.00
_cell_angle_beta 90.00
_cell_angle_gamma 120.00
_symmetry_space_group_name_H-M 'P -3 1 c'
_symmetry_Int_Tables_number 163
_symmetry_space_group_name_Hall '-P 3 2c'
loop_
_atom_site_label
_atom_site_type_symbol
_atom_site_fract_x
_atom_site_fract_y
_atom_site_fract_z
K1 K 0.0000 0.0000 0.0000
Ta1 Ta 0.3333 0.6667 0.2500
Pb1 Pb 0.3333 0.6667 0.7500
O1 O 0.0220 0.4242 0.1467
```

Principal peaks in the range 10° ≤ 2θ ≤ 90°, in order of rising 2θ:
2θ 16.30, d 5.437, I 96; 2θ 17.54, d 5.055, I 55; 2θ 24.04, d 3.702, I 100; 2θ 30.63, d 2.919, I 69; 2θ 34.89, d 2.572, I 76; 2θ 39.31, d 2.292, I 22; 2θ 45.60, d 1.989, I 66; 2θ 50.64, d 1.803, I 26; 2θ 57.24, d 1.610, I 21; 2θ 60.09, d 1.540, I 20

Entry 5:
Computed PXRD pattern of ZnIn5Hg8 for Cu Kα, 1.54184 Å, from a cell relaxed with GGA-PBE.

Structural model:
```
data_ZnIn5Hg8
_chemical_formula_sum 'Zn2 In10 Hg16'
_cell_length_a 13.9761
_cell_length_b 6.8961
_cell_length_c 9.7627
_cell_angle_alpha 90.00
_cell_angle_beta 125.97
_cell_angle_gamma 90.00
_symmetry_space_group_name_H-M 'C 1 2 1'
_symmetry_Int_Tables_number 5
loop_
_symmetry_equiv_pos_as_xyz
'x,y,z'
'-x,y,-z'
'x+1/2,y+1/2,z'
'-x+1/2,y+1/2,-z'
loop_
_atom_site_label
_atom_site_type_symbol
_atom_site_fract_x
_atom_site_fract_y
_atom_site_fract_z
Zn1 Zn 0.0000 0.0000 0.0000
In1 In 0.0000 0.2590 0.5000
In2 In 0.1103 0.3349 0.2291
In3 In 0.1210 0.6635 0.0046
Hg1 Hg 0.0212 0.8588 0.3530
Hg2 Hg 0.1411 0.2241 0.9065
Hg3 Hg 0.1861 0.5819 0.7067
Hg4 Hg 0.2476 0.6961 0.4074
```

Principal peaks in the range 10° ≤ 2θ ≤ 90°, in order of rising 2θ:
2θ 25.84, d 3.448, I 26; 2θ 26.95, d 3.308, I 35; 2θ 30.36, d 2.944, I 39; 2θ 30.61, d 2.921, I 36; 2θ 31.88, d 2.808, I 21; 2θ 32.73, d 2.736, I 100; 2θ 34.63, d 2.590, I 78; 2θ 35.65, d 2.518, I 34; 2θ 37.36, d 2.407, I 24; 2θ 39.66, d 2.272, I 37

Entry 6:
Computed PXRD pattern of K3PbAu4 for Cu Kα, 1.54184 Å, from a cell relaxed with GGA-PBE.

Structural model:
```
data_K3PbAu4
_chemical_formula_sum 'K12 Pb4 Au16'
_cell_length_a 13.6239
_cell_length_b 9.4005
_cell_length_c 8.1690
_cell_angle_alpha 90.00
_cell_angle_beta 90.00
_cell_angle_gamma 90.00
_symmetry_space_group_name_H-M 'P n m a'
_symmetry_Int_Tables_number 62
loop_
_symmetry_equiv_pos_as_xyz
'x,y,z'
'-x,-y,-z'
'-x+1/2,-y,z+1/2'
'x+1/2,y,-z+1/2'
'x+1/2,-y+1/2,-z+1/2'
'-x+1/2,y+1/2,z+1/2'
'-x,y+1/2,-z'
'x,-y+1/2,z'
loop_
_atom_site_label
_atom_site_type_symbol
_atom_site_fract_x
_atom_site_fract_y
_atom_site_fract_z
K1 K 0.0586 0.2500 0.2066
K2 K 0.1623 0.5325 0.5430
Pb1 Pb 0.1330 0.7500 0.1366
Au1 Au 0.0142 0.2500 0.6138
Au2 Au 0.1004 0.5026 0.9427
Au3 Au 0.1801 0.2500 0.8158
```

Principal peaks in the range 10° ≤ 2θ ≤ 90°, in order of rising 2θ:
2θ 12.63, d 7.006, I 44; 2θ 14.36, d 6.166, I 100; 2θ 22.40, d 3.969, I 27; 2θ 22.78, d 3.904, I 32; 2θ 28.96, d 3.083, I 33; 2θ 30.94, d 2.890, I 51; 2θ 34.71, d 2.585, I 21; 2θ 35.18, d 2.551, I 31; 2θ 38.30, d 2.350, I 33; 2θ 40.51, d 2.227, I 29

Entry 7:
Computed PXRD pattern of LiGe6S8 for Cu Kα, 1.54184 Å, from a cell relaxed with GGA-PBE.

Structural model:
```
data_LiGe6S8
_chemical_formula_sum 'Li3 Ge18 S24'
_cell_length_a 10.9314
_cell_length_b 10.9314
_cell_length_c 11.3289
_cell_angle_alpha 90.00
_cell_angle_beta 90.00
_cell_angle_gamma 120.00
_symmetry_space_group_name_H-M 'R -3'
_symmetry_Int_Tables_number 148
_symmetry_space_group_name_Hall '-R 3'
loop_
_atom_site_label
_atom_site_type_symbol
_atom_site_fract_x
_atom_site_fract_y
_atom_site_fract_z
Li1 Li 0.0000 0.0000 0.0000
Ge1 Ge 0.0256 0.8352 0.3600
S1 S 0.0000 0.0000 0.2171
S2 S 0.0006 0.2721 0.4010
```

Principal peaks in the range 10° ≤ 2θ ≤ 90°, in order of rising 2θ:
2θ 12.18, d 7.264, I 100; 2θ 20.33, d 4.368, I 18; 2θ 23.56, d 3.776, I 29; 2θ 26.12, d 3.412, I 24; 2θ 29.53, d 3.025, I 19; 2θ 35.08, d 2.558, I 23; 2θ 37.76, d 2.382, I 22; 2θ 40.63, d 2.221, I 16; 2θ 40.76, d 2.214, I 25; 2θ 44.69, d 2.028, I 13

Entry 8:
Computed PXRD pattern of CaDy2UP4 for Cu Kα, 1.54184 Å, from a cell relaxed with GGA-PBE.

Structural model:
```
data_CaDy2UP4
_chemical_formula_sum 'Ca2 Dy4 U2 P8'
_cell_length_a 5.6666
_cell_length_b 5.6666
_cell_length_c 11.3296
_cell_angle_alpha 90.00
_cell_angle_beta 90.00
_cell_angle_gamma 90.00
_symmetry_space_group_name_H-M 'I -4 m 2'
_symmetry_Int_Tables_number 119
_symmetry_space_group_name_Hall 'I -4 -2'
loop_
_atom_site_label
_atom_site_type_symbol
_atom_site_fract_x
_atom_site_fract_y
_atom_site_fract_z
Ca1 Ca 0.0000 0.0000 0.0000
Dy1 Dy 0.0000 0.0000 0.5000
Dy2 Dy 0.0000 0.5000 0.2500
U1 U 0.0000 0.5000 0.7500
P1 P 0.0000 0.0000 0.2542
P2 P 0.0000 0.5000 0.5098
```

Principal peaks in the range 10° ≤ 2θ ≤ 90°, in order of rising 2θ:
2θ 17.50, d 5.068, I 20; 2θ 27.26, d 3.271, I 81; 2θ 31.58, d 2.833, I 100; 2θ 45.27, d 2.003, I 73; 2θ 53.65, d 1.708, I 40; 2θ 56.24, d 1.636, I 25; 2θ 65.95, d 1.417, I 12; 2θ 72.75, d 1.300, I 17; 2θ 74.96, d 1.267, I 33; 2θ 83.60, d 1.157, I 25

Entry 9:
Computed PXRD pattern of AsPRhAu2 for Cu Kα, 1.54184 Å, from a cell relaxed with GGA-PBE.

Structural model:
```
data_AsPRhAu2
_chemical_formula_sum 'As3 P3 Rh3 Au6'
_cell_length_a 3.9541
_cell_length_b 3.9541
_cell_length_c 20.9127
_cell_angle_alpha 90.00
_cell_angle_beta 90.00
_cell_angle_gamma 120.00
_symmetry_space_group_name_H-M 'R 3 m'
_symmetry_Int_Tables_number 160
_symmetry_space_group_name_Hall 'R 3 -2"'
loop_
_atom_site_label
_atom_site_type_symbol
_atom_site_fract_x
_atom_site_fract_y
_atom_site_fract_z
As1 As 0.0000 0.0000 0.0000
P1 P 0.0000 0.0000 0.7947
Rh1 Rh 0.0000 0.0000 0.1155
Au1 Au 0.0000 0.0000 0.2775
Au2 Au 0.0000 0.0000 0.5321
```

Principal peaks in the range 10° ≤ 2θ ≤ 90°, in order of rising 2θ:
2θ 12.70, d 6.971, I 50; 2θ 26.37, d 3.379, I 35; 2θ 31.22, d 2.865, I 100; 2θ 33.83, d 2.650, I 30; 2θ 40.05, d 2.251, I 57; 2θ 43.56, d 2.078, I 38; 2θ 45.90, d 1.977, I 71; 2θ 56.56, d 1.627, I 19; 2θ 72.27, d 1.307, I 21; 2θ 75.70, d 1.256, I 16

Entry 10:
Computed PXRD pattern of VMo3W5 for Cu Kα, 1.54184 Å, from a cell relaxed with GGA-PBE.

Structural model:
```
data_VMo3W5
_chemical_formula_sum 'V2 Mo6 W10'
_cell_length_a 5.1976
_cell_length_b 7.1597
_cell_length_c 8.2666
_cell_angle_alpha 78.89
_cell_angle_beta 86.58
_cell_angle_gamma 76.13
_symmetry_space_group_name_H-M 'P -1'
_symmetry_Int_Tables_number 2
loop_
_symmetry_equiv_pos_as_xyz
'x,y,z'
'-x,-y,-z'
loop_
_atom_site_label
_atom_site_type_symbol
_atom_site_fract_x
_atom_site_fract_y
_atom_site_fract_z
V1 V 0.2074 0.1494 0.2258
Mo1 Mo 0.0458 0.8279 0.4372
Mo2 Mo 0.2983 0.4322 0.9875
Mo3 Mo 0.5000 0.0000 0.0000
Mo4 Mo 0.5000 0.0000 0.5000
W1 W 0.0730 0.5290 0.6780
W2 W 0.0846 0.7869 0.1071
W3 W 0.2706 0.8507 0.7856
W4 W 0.4256 0.4259 0.3693
W5 W 0.4516 0.2124 0.7174
```

Principal peaks in the range 10° ≤ 2θ ≤ 90°, in order of rising 2θ:
2θ 37.98, d 2.369, I 57; 2θ 38.47, d 2.340, I 51; 2θ 38.91, d 2.314, I 42; 2θ 39.19, d 2.299, I 61; 2θ 39.59, d 2.277, I 100; 2θ 39.94, d 2.257, I 53; 2θ 40.95, d 2.204, I 53; 2θ 41.94, d 2.154, I 61; 2θ 42.26, d 2.139, I 68; 2θ 44.19, d 2.050, I 40

Entry 11:
Computed PXRD pattern of CeAl20Co2 for Cu Kα, 1.54184 Å, from a cell relaxed with GGA-PBE.

Structural model:
a b c (Å): 14.3928 14.3928 14.3928
angles (deg): 90.00 90.00 90.00
Space group Fd-3m (No. 227, origin choice 2)
One atom of each set of equivalent atoms:
Ce 0.1250 0.1250 0.1250
Al 0.0000 0.0000 0.0000
Al 0.0094 0.3750 0.8750
Al 0.0581 0.0581 0.3267
Co 0.0000 0.0000 0.5000

Principal peaks in the range 10° ≤ 2θ ≤ 90°, in order of rising 2θ:
2θ 17.43, d 5.089, I 53; 2θ 20.47, d 4.340, I 98; 2θ 35.28, d 2.544, I 53; 2θ 36.95, d 2.433, I 88; 2θ 39.60, d 2.276, I 64; 2θ 41.13, d 2.195, I 100; 2θ 41.62, d 2.170, I 82; 2θ 54.07, d 1.696, I 45; 2θ 74.60, d 1.272, I 45; 2θ 78.32, d 1.221, I 27